Structure and calculated PXRD pattern of YGe3B (a crystal structure in Alexandria, relaxed with GGA-PBE; λ = 1.5418 Å (Cu Kα)).
Kinematic intensities with the Lorentz-polarization factor, no thermal factor.

Principal peaks in the range 2θ from 15° to 90°, sorted by position:
27.9 deg, I 2, hkl 1 1 0
34.3 deg, I 100, hkl 1 1 1
39.8 deg, I 55, hkl 2 0 0
49.3 deg, I 1, hkl 2 1 1
57.6 deg, I 36, hkl 2 2 0
68.7 deg, I 38, hkl 3 1 1
72.3 deg, I 12, hkl 2 2 2
85.8 deg, I 6, hkl 4 0 0

```
YGe3B
1.0
4.529 0.000 0.000
0.000 4.529 0.000
0.000 0.000 4.529
Y Ge B
1 3 1
Direct
0.000 0.000 0.000 Y
0.000 0.500 0.500 Ge
0.500 0.000 0.500 Ge
0.500 0.500 0.000 Ge
0.500 0.500 0.500 B
```